Starting from a cell relaxed with GGA+U, the powder XRD pattern of ScAlNiO4 was simulated for Cu Kα (weighted mean of Kα1 and Kα2).

Crystal structure
a = 5.9476 Å, b = 5.9476 Å, c = 5.9476 Å
α = 120.58°, β = 118.70°, γ = 90.64°
Fractional positions:
Sc (0.0000, 0.0000, 0.0000)
Sc (0.5000, 0.0000, 0.5000)
Al (0.3764, 0.6264, 0.7500)
Al (0.6236, 0.3736, 0.2500)
Ni (0.0000, 0.0000, 0.5000)
Ni (0.0000, 0.5000, 0.0000)
O (0.2496, 0.7480, 0.5016)
O (0.2512, 0.2498, 0.4986)
O (0.2512, 0.7525, 0.0014)
O (0.2535, 0.2520, 0.0016)
O (0.7465, 0.7480, 0.9984)
O (0.7488, 0.2475, 0.9986)
O (0.7488, 0.7502, 0.5014)
O (0.7504, 0.2520, 0.4984)

Top 10 peaks for 15° ≤ 2θ ≤ 90°, low angle first:
2θ (°)	d/Å	Rel. int.
18.07	4.910	51
18.41	4.819	17
34.96	2.566	38
35.49	2.529	100
35.62	2.520	20
42.78	2.114	57
43.27	2.091	28
56.25	1.636	24
61.13	1.516	16
62.48	1.487	59